(1)
Ce12Pu2In5: calculated powder diffractogram (Cu Kα), based on a crystal structure in Alexandria, relaxed with GGA-PBE.

Cell and atoms:
a = 13.468 Å, b = 10.066 Å, c = 7.455 Å
α = 90.00°, β = 92.75°, γ = 90.00°
Space group C2/m (No. 12)
Unique sites:
Ce 0.006 0.000 0.311
Ce 0.082 0.500 0.116
Ce 0.120 0.243 0.330
Ce 0.148 0.299 0.783
Pu 0.000 0.204 0.000
In 0.000 0.500 0.500
In 0.185 0.000 0.003
In 0.232 0.000 0.562

Top 8 peaks for 10 to 90 degrees two-theta, by angle:
d (Å)  Position (°2θ)  I_rel
2.995  29.8  54
2.817  31.8  38
2.796  32.0  34
2.696  33.2  100
2.653  33.8  40
2.554  35.1  47
2.516  35.7  54
1.547  59.8  37

---

(2)
Ac3Se3S: calculated powder diffractogram (Cu Kα), based on a crystal structure in Alexandria, relaxed with GGA-PBE.

Cell and atoms:
a = 8.727 Å, b = 8.954 Å, c = 12.520 Å
α = 90.00°, β = 90.00°, γ = 90.00°
Space group Imma (No. 74)
Unique sites:
Ac 0.000 0.250 0.001
Ac 0.250 0.007 0.750
Se 0.000 0.250 0.252
Se 0.246 0.000 0.000
S 0.000 0.250 0.759

Top 8 peaks for 10 to 90 degrees two-theta, by angle:
d (Å)  Position (°2θ)  I_rel
7.160  12.4  27
3.641  24.4  16
3.580  24.9  16
3.127  28.5  100
2.211  40.8  51
1.821  50.1  14
1.790  51.0  14
1.399  66.9  24

---

(3)
Nd4Sm3Ho2: calculated powder diffractogram (Cu Kα), based on a crystal structure in Alexandria, relaxed with GGA-PBE.

Cell and atoms:
a = 3.6334 Å, b = 3.6334 Å, c = 26.9986 Å
α = 90.00°, β = 90.00°, γ = 120.00°
Space group P3m1 (No. 156)
Unique sites:
Nd 0.0000 0.0000 0.0000
Nd 0.0000 0.0000 0.2202
Nd 0.3333 0.6667 0.3324
Nd 0.3333 0.6667 0.5549
Sm 0.0000 0.0000 0.4431
Sm 0.3333 0.6667 0.1076
Sm 0.3333 0.6667 0.7693
Ho 0.0000 0.0000 0.6617
Ho 0.0000 0.0000 0.8731

Top 8 peaks for 10 to 90 degrees two-theta, by angle:
d (Å)  Position (°2θ)  I_rel
3.147  28.4  51
3.000  29.8  53
2.852  31.4  73
2.719  32.9  100
2.171  41.6  34
1.817  50.2  40
1.644  55.9  29
1.554  59.5  45